The following is a calculated PXRD pattern of PrY3Mg4. It was derived from a GGA-PBE-relaxed structure, using Cu Kα (weighted mean of Kα1 and Kα2).
Kinematic intensities with the Lorentz-polarization factor, no thermal factor.

Crystal structure
Cell lengths 5.4090, 5.4090, 7.6732 Å; angles 90.00, 90.00, 90.00 degrees
Space group P4/mmm (No. 123)
Inequivalent atoms, fractional coordinates:
Pr 0.0000 0.0000 0.0000 x1
Y 0.0000 0.0000 0.5000 x1
Y 0.5000 0.5000 0.0000 x1
Y 0.5000 0.5000 0.5000 x1
Mg 0.0000 0.5000 0.2554 x4

Principal peaks in the range 5 to 70 degrees two-theta, by intensity:
| h k l | 2theta | d/Å | I (rel.) |
| --- | --- | --- | --- |
| 2 0 0 | 33.09 | 2.707 | 100 |
| 1 1 0 | 23.23 | 3.829 | 45 |
| 3 1 2 | 59.14 | 1.562 | 24 |
| 2 0 2 | 40.82 | 2.210 | 13 |
| 2 0 4 | 59.04 | 1.565 | 12 |
| 3 1 0 | 53.56 | 1.711 | 12 |

---

The following is a calculated PXRD pattern of CaLa3Tc. It was derived from a GGA-PBE-relaxed structure, using Cu Kα (weighted mean of Kα1 and Kα2).
Kinematic intensities with the Lorentz-polarization factor, no thermal factor.

Crystal structure
Cell lengths 7.1014, 7.1014, 25.8530 Å; angles 90.00, 90.00, 120.00 degrees
Space group R-3 (No. 148, hexagonal axes)
Inequivalent atoms, fractional coordinates:
Ca 0.0000 0.0000 0.1796 x6
La 0.0198 0.3784 0.2770 x18
Tc 0.0000 0.0000 0.3081 x6

Principal peaks in the range 5 to 70 degrees two-theta, by intensity:
| h k l | 2theta | d/Å | I (rel.) |
| --- | --- | --- | --- |
| 0 0 3 | 10.26 | 8.618 | 100 |
| 2 -1 3 | 27.16 | 3.283 | 92 |
| 1 1 6 | 32.68 | 2.740 | 79 |
| 3 0 0 | 44.18 | 2.050 | 33 |
| 0 0 9 | 31.14 | 2.873 | 23 |
| 2 -1 12 | 49.49 | 1.842 | 19 |